Record 1
The following is a simulated X-ray powder pattern of MgMn6O5F7. It was derived from the PBE+U geometry in the Materials Project, using Cu Kα (weighted mean of Kα1 and Kα2).
Lines closer than 0.1° are merged.

Largest 10 diffraction maxima, sorted by position, 10 to 90 degrees two-theta:
Position (°2θ), d [Å], I/Imax
19.5, 4.557, 60
27.2, 3.278, 65
29.1, 3.074, 44
29.3, 3.052, 83
32.2, 2.776, 44
33.6, 2.670, 60
33.7, 2.661, 100
34.4, 2.610, 47
34.5, 2.597, 70
49.2, 1.851, 55

Structural model:
```
MgMn6O5F7
1.0
5.3386 -3.2776 0.0000
5.3386 3.2776 0.0000
-1.3872 0.0000 6.4744
Mg Mn O F
1 6 5 7
direct
0.0000 0.0000 0.0000
0.0064 0.4770 0.8854
0.1281 0.5709 0.3600
0.4291 0.8719 0.6400
0.5215 0.4785 0.0000
0.5230 0.9936 0.1146
0.7346 0.2654 0.5000
0.2021 0.6300 0.1028
0.3700 0.7979 0.8972
0.4455 0.5545 0.5000
0.6984 0.2127 0.1843
0.7873 0.3016 0.8157
0.0401 0.9599 0.5000
0.1535 0.2095 0.1584
0.3581 0.2135 0.8215
0.5368 0.0184 0.4491
0.7865 0.6419 0.1785
0.7905 0.8465 0.8416
0.9816 0.4632 0.5509
```

=====

Record 2
The following is a simulated X-ray powder pattern of MgMn6O6F6. It was derived from the PBE+U geometry in the Materials Project, using Cu Kα (weighted mean of Kα1 and Kα2).
Lines closer than 0.1° are merged.

Largest 10 diffraction maxima, sorted by position, 10 to 90 degrees two-theta:
Position (°2θ), d [Å], I/Imax
24.6, 3.614, 63
25.3, 3.518, 100
29.5, 3.026, 32
34.0, 2.637, 42
34.7, 2.582, 48
34.9, 2.569, 31
38.7, 2.327, 29
51.5, 1.775, 23
51.8, 1.764, 30
60.9, 1.522, 27

Structural model:
```
MgMn6O6F6
1.0
3.0433 0.0000 0.0000
-0.0138 5.2792 0.0000
-0.0772 -0.3868 14.5004
Mg Mn O F
1 6 6 6
direct
0.0000 0.0000 0.0000
0.0133 0.9208 0.1915
0.0238 0.1369 0.8114
0.0273 0.9547 0.5001
0.5021 0.4912 0.0109
0.5243 0.3706 0.3479
0.5288 0.5702 0.6603
0.0260 0.2305 0.4129
0.0278 0.6906 0.5872
0.0290 0.4220 0.7250
0.5014 0.1600 0.9259
0.5076 0.8285 0.0954
0.5160 0.0708 0.2545
0.0006 0.6721 0.9349
0.0040 0.2987 0.0872
0.0221 0.5582 0.2759
0.5255 0.1380 0.5666
0.5264 0.9076 0.7540
0.5311 0.7583 0.4288
```

=====

Record 3
The following is a simulated X-ray powder pattern of MgMn6O10F2. It was derived from the PBE+U geometry in the Materials Project, using Cu Kα (weighted mean of Kα1 and Kα2).
Lines closer than 0.1° are merged.

Largest 10 diffraction maxima, sorted by position, 10 to 90 degrees two-theta:
Position (°2θ), d [Å], I/Imax
21.8, 4.082, 100
28.2, 3.164, 83
34.8, 2.578, 14
35.0, 2.565, 14
35.9, 2.501, 22
36.0, 2.493, 20
42.1, 2.144, 13
49.1, 1.857, 15
58.3, 1.582, 15
63.4, 1.468, 18

Structural model:
```
MgMn6O10F2
1.0
5.1603 0.0000 0.0000
1.2982 5.0137 0.0000
0.3605 0.3460 8.8101
Mg Mn O F
1 6 10 2
direct
0.0000 0.0000 0.0000
0.2863 0.2920 0.6440
0.2952 0.3042 0.3294
0.3311 0.3368 0.9818
0.6995 0.7172 0.1794
0.7503 0.7544 0.8125
0.8506 0.8559 0.4857
0.0093 0.6230 0.6538
0.1280 0.1405 0.4958
0.1634 0.1679 0.8359
0.4382 0.4470 0.4774
0.4654 0.4697 0.1544
0.5947 0.9924 0.3275
0.6105 0.9917 0.9929
0.6156 0.0146 0.6538
0.9912 0.6155 0.3206
0.9933 0.6175 0.9874
0.1209 0.1304 0.1738
0.4991 0.5012 0.7939
```

=====

Record 4
The following is a simulated X-ray powder pattern of MgMn6O10F2. It was derived from the PBE+U geometry in the Materials Project, using Cu Kα (weighted mean of Kα1 and Kα2).
Lines closer than 0.1° are merged.

Largest 10 diffraction maxima, sorted by position, 10 to 90 degrees two-theta:
Position (°2θ), d [Å], I/Imax
23.1, 3.843, 100
27.8, 3.212, 79
35.3, 2.544, 18
35.5, 2.526, 41
35.6, 2.519, 22
36.1, 2.491, 25
49.4, 1.844, 17
50.3, 1.816, 17
53.9, 1.701, 18
63.5, 1.466, 24

Structural model:
```
MgMn6O10F2
1.0
5.1311 0.0000 0.0000
0.8997 5.6709 0.0000
0.8113 1.0250 7.4725
Mg Mn O F
1 6 10 2
direct
0.0000 0.0000 0.0000
0.1030 0.3847 0.2183
0.5054 0.1597 0.8384
0.5256 0.4779 0.5185
0.5478 0.8026 0.1876
0.9482 0.9559 0.5112
0.9590 0.5943 0.8235
0.1634 0.3068 0.9394
0.1704 0.6623 0.6031
0.3918 0.1928 0.6119
0.4028 0.5244 0.2840
0.6279 0.1060 0.0790
0.6513 0.4399 0.7568
0.6751 0.7766 0.4129
0.8397 0.9477 0.7670
0.8507 0.2862 0.4323
0.8740 0.6622 0.0766
0.1580 0.9841 0.2542
0.3612 0.8393 0.9440
```